Sr5B3BrO9: calculated powder diffraction line list (Cu Ka), based on the GGA-PBE geometry in the Materials Project.

Most intense lines, 2θ from 10° to 90°, low angle first:
Position (°2θ), I (rel.)
23.6, 40.4
29.3, 100.0
30.4, 40.1
31.2, 68.4
32.4, 44.1
32.7, 39.8
34.4, 38.7
50.1, 39.4

Structural model:
```
Sr5B3BrO9
1.0
5.0674 -7.2091 0.0000
5.0674 7.2091 0.0000
0.0000 0.0000 7.6140
Sr B Br O
10 6 2 18
Direct
0.1362 0.8638 0.7500 Sr
0.1366 0.8634 0.2500 Sr
0.2335 0.4942 0.5727 Sr
0.2571 0.2571 0.0000 Sr
0.4942 0.2335 0.4273 Sr
0.5058 0.7665 0.9273 Sr
0.7429 0.7429 0.5000 Sr
0.7665 0.5058 0.0727 Sr
0.8634 0.1366 0.7500 Sr
0.8638 0.1362 0.2500 Sr
0.0900 0.5139 0.9725 B
0.1275 0.1275 0.5000 B
0.4861 0.9100 0.5275 B
0.5139 0.0900 0.0275 B
0.8725 0.8725 0.0000 B
0.9100 0.4861 0.4725 B
0.4413 0.5587 0.2500 Br
0.5587 0.4413 0.7500 Br
0.0111 0.0111 0.0000 O
0.0216 0.6392 0.5132 O
0.0558 0.6529 0.0132 O
0.1895 0.1949 0.6605 O
0.1949 0.1895 0.3395 O
0.2322 0.5258 0.8866 O
0.3471 0.9442 0.4868 O
0.3608 0.9784 0.9868 O
0.4742 0.7678 0.6134 O
0.5258 0.2322 0.1134 O
0.6392 0.0216 0.4868 O
0.6529 0.0558 0.9868 O
0.7678 0.4742 0.3866 O
0.8051 0.8105 0.8395 O
0.8105 0.8051 0.1605 O
0.9442 0.3471 0.5132 O
0.9784 0.3608 0.0132 O
0.9889 0.9889 0.5000 O
```